The following is a theoretical XRD peak list of Nd2NiO4. It was derived from a cell relaxed with PBE+U, using a wavelength of 1.5418 Å.
Neutral-atom scattering factors, no anomalous dispersion.

Cell and atoms:
Cell lengths 3.930, 3.949, 6.815 Å; angles 73.30, 73.38, 90.00 degrees
Element x y z (fractional)
Nd1 0.000 0.000 0.000
Nd2 0.301 0.302 0.400
Ni1 0.650 0.649 0.701
O1 0.150 0.646 0.701
O2 0.400 0.900 0.202
O3 0.648 0.148 0.701
O4 0.901 0.401 0.199

Top 12 peaks for 2θ = 5–70°, by intensity:
| d [Å] | two_theta | Rel. int. |
| --- | --- | --- |
| 2.861 | 31.27 | 100.0 |
| 2.786 | 32.13 | 43.8 |
| 2.851 | 31.38 | 33.1 |
| 2.077 | 43.57 | 28.8 |
| 1.622 | 56.75 | 22.9 |
| 1.619 | 56.86 | 20.3 |
| 1.975 | 45.96 | 17.0 |
| 1.965 | 46.20 | 16.7 |
| 1.625 | 56.64 | 14.7 |
| 3.765 | 23.63 | 12.6 |
| 3.748 | 23.74 | 12.5 |
| 1.665 | 55.17 | 11.7 |


The following is a theoretical XRD peak list of LiMnSiO4. It was derived from a cell relaxed with PBE+U, using a wavelength of 1.5418 Å.
Neutral-atom scattering factors, no anomalous dispersion.

Cell and atoms:
Cell lengths 5.922, 6.318, 9.600 Å; angles 76.02, 86.35, 79.49 degrees
Element x y z (fractional)
Li1 0.069 0.350 0.167
Li2 0.071 0.841 0.237
Li3 0.929 0.159 0.763
Li4 0.931 0.650 0.833
Mn1 0.306 0.632 0.578
Mn2 0.498 0.066 0.224
Mn3 0.502 0.934 0.776
Mn4 0.694 0.368 0.422
Si1 0.212 0.174 0.501
Si2 0.364 0.282 0.885
Si3 0.636 0.718 0.115
Si4 0.788 0.826 0.499
O1 0.047 0.746 0.445
O2 0.226 0.169 0.332
O3 0.233 0.083 0.855
O4 0.237 0.522 0.786
O5 0.314 0.926 0.608
O6 0.339 0.294 0.052
O7 0.379 0.343 0.532
O8 0.381 0.805 0.177
O9 0.619 0.195 0.823
O10 0.621 0.657 0.468
O11 0.661 0.706 0.948
O12 0.686 0.074 0.392
O13 0.763 0.478 0.214
O14 0.767 0.917 0.145
O15 0.774 0.831 0.668
O16 0.953 0.254 0.555

Top 12 peaks for 2θ = 5–70°, by intensity:
| d [Å] | two_theta | Rel. int. |
| --- | --- | --- |
| 9.314 | 9.50 | 100.0 |
| 5.821 | 15.22 | 87.0 |
| 2.966 | 30.13 | 51.4 |
| 2.796 | 32.01 | 40.6 |
| 3.330 | 26.77 | 38.8 |
| 4.891 | 18.14 | 29.3 |
| 4.605 | 19.27 | 27.8 |
| 2.763 | 32.40 | 27.1 |
| 3.105 | 28.75 | 25.1 |
| 4.492 | 19.76 | 23.5 |
| 2.446 | 36.75 | 16.5 |
| 1.596 | 57.78 | 14.4 |


The following is a theoretical XRD peak list of Ni3O4. It was derived from a cell relaxed with PBE+U, using a wavelength of 1.5418 Å.
Neutral-atom scattering factors, no anomalous dispersion.

Cell and atoms:
Cell lengths 5.984, 8.263, 2.879 Å; angles 90.00, 90.00, 90.00 degrees
Element x y z (fractional)
Ni1 0.000 0.000 0.000
Ni2 0.250 0.250 0.500
Ni3 0.250 0.750 0.500
Ni4 0.500 0.500 0.000
Ni5 0.750 0.250 0.500
Ni6 0.750 0.750 0.500
O1 0.000 0.227 0.000
O2 0.000 0.773 0.000
O3 0.206 0.000 0.500
O4 0.294 0.500 0.500
O5 0.500 0.273 0.000
O6 0.500 0.727 0.000
O7 0.706 0.500 0.500
O8 0.794 0.000 0.500

Top 12 peaks for 2θ = 5–70°, by intensity:
| d [Å] | two_theta | Rel. int. |
| --- | --- | --- |
| 2.075 | 43.63 | 100.0 |
| 4.847 | 18.31 | 99.5 |
| 1.464 | 63.56 | 54.3 |
| 2.066 | 43.83 | 49.2 |
| 2.423 | 37.10 | 46.6 |
| 2.362 | 38.10 | 40.5 |
| 4.131 | 21.51 | 21.2 |
| 2.475 | 36.29 | 19.8 |
| 1.496 | 62.04 | 13.9 |
| 1.440 | 64.76 | 13.6 |
| 1.608 | 57.29 | 10.6 |
| 1.854 | 49.14 | 10.1 |


The following is a theoretical XRD peak list of V2P3O11. It was derived from a cell relaxed with PBE+U, using a wavelength of 1.5418 Å.
Neutral-atom scattering factors, no anomalous dispersion.

Cell and atoms:
Cell lengths 7.250, 7.250, 8.900 Å; angles 109.29, 109.29, 71.83 degrees
Element x y z (fractional)
V1 0.111 0.638 0.960
V2 0.362 0.889 0.540
V3 0.638 0.111 0.460
V4 0.889 0.362 0.040
P1 0.040 0.960 0.750
P2 0.328 0.456 0.290
P3 0.456 0.328 0.790
P4 0.544 0.672 0.210
P5 0.672 0.544 0.710
P6 0.960 0.040 0.250
O1 0.014 0.142 0.899
O2 0.050 0.767 0.791
O3 0.142 0.014 0.399
O4 0.154 0.464 0.130
O5 0.233 0.950 0.709
O6 0.254 0.390 0.830
O7 0.278 0.633 0.433
O8 0.367 0.722 0.067
O9 0.390 0.254 0.330
O10 0.464 0.154 0.630
O11 0.481 0.519 0.750
O12 0.519 0.481 0.250
O13 0.536 0.846 0.370
O14 0.610 0.746 0.670
O15 0.633 0.278 0.933
O16 0.722 0.367 0.567
O17 0.746 0.610 0.170
O18 0.767 0.050 0.291
O19 0.846 0.536 0.870
O20 0.858 0.986 0.601
O21 0.950 0.233 0.209
O22 0.986 0.858 0.101

Top 12 peaks for 2θ = 5–70°, by intensity:
| d [Å] | two_theta | Rel. int. |
| --- | --- | --- |
| 5.944 | 14.90 | 100.0 |
| 4.611 | 19.25 | 80.1 |
| 2.938 | 30.43 | 79.1 |
| 3.219 | 27.71 | 41.0 |
| 3.768 | 23.61 | 38.7 |
| 5.361 | 16.53 | 36.4 |
| 2.634 | 34.04 | 24.2 |
| 2.410 | 37.31 | 18.9 |
| 2.972 | 30.07 | 17.8 |
| 2.681 | 33.43 | 17.3 |
| 3.295 | 27.06 | 16.7 |
| 2.744 | 32.63 | 12.8 |